# Dy3Al
Simulated powder XRD pattern, CuKα. Input: the GGA-PBE geometry in Alexandria.

Top 12 peaks for 5 to 70 degrees two-theta, in order of rising 2θ:
two_theta, I_rel
22.6, 28
26.1, 9
30.2, 24
33.9, 24
34.7, 100
40.3, 5
43.3, 5
46.0, 18
53.6, 23
61.2, 20
65.0, 21
65.5, 15

```
Dy3Al
1.0
6.835 0.000 0.000
-3.417 5.919 0.000
0.000 0.000 5.286
Dy Al
6 2
Direct
0.175 0.350 0.250
0.175 0.825 0.250
0.350 0.175 0.750
0.650 0.825 0.250
0.825 0.175 0.750
0.825 0.650 0.750
0.333 0.667 0.750
0.667 0.333 0.250
```


# LaPm5Se8
Simulated powder XRD pattern, CuKα. Input: the GGA-PBE geometry in Alexandria.

Top 12 peaks for 5 to 70 degrees two-theta, in order of rising 2θ:
two_theta, I_rel
24.1, 30
24.7, 32
31.1, 57
31.2, 100
32.4, 65
37.1, 46
37.5, 62
38.1, 39
46.3, 24
47.8, 27
51.3, 33
65.1, 31

```
LaPm5Se8
1.0
-4.550 4.550 4.351
4.550 -4.550 4.351
4.550 4.550 -4.351
La Pm Se
1 5 8
Direct
0.000 0.000 0.000
0.124 0.222 0.595
0.250 0.750 0.500
0.471 0.876 0.098
0.627 0.529 0.405
0.778 0.373 0.902
0.015 0.617 0.743
0.241 0.484 0.112
0.373 0.129 0.888
0.383 0.127 0.398
0.516 0.627 0.756
0.728 0.985 0.602
0.871 0.759 0.244
0.873 0.272 0.257
```